(1)
For Nd3AsSe2, a GGA-PBE-relaxed structure gives the computed X-ray powder pattern in this record (Cu Kα (λ = 1.5418 Å)).
Peak positions follow from Bragg's law for the DFT cell and can differ from measured ones.

Structure:
```
Nd3AsSe2
1.0
4.2434 0.0000 0.0000
-2.1217 3.6749 0.0000
0.0000 0.0000 10.3722
Nd As Se
3 1 2
Direct
0.0000 0.0000 0.0000
0.3333 0.6667 0.3390
0.6667 0.3333 0.6610
0.0000 0.0000 0.5000
0.3333 0.6667 0.8346
0.6667 0.3333 0.1654
```

Peak list (10 most intense, 10° ≤ 2θ ≤ 90°, in order of rising 2θ)
| Position (°2θ) | I (rel.) |
| --- | --- |
| 25.7 | 16 |
| 29.8 | 100 |
| 42.6 | 75 |
| 50.5 | 8 |
| 52.9 | 20 |
| 53.0 | 6 |
| 61.9 | 12 |
| 70.2 | 34 |
| 78.0 | 19 |
| 78.2 | 6 |



(2)
For NdTlAsSe3, a GGA-PBE-relaxed structure gives the computed X-ray powder pattern in this record (Cu Kα (λ = 1.5418 Å)).
Peak positions follow from Bragg's law for the DFT cell and can differ from measured ones.

Structure:
```
NdTlAsSe3
1.0
2.1716 -7.8771 0.0000
2.1716 7.8771 0.0000
0.0000 0.0000 10.2844
Nd Tl As Se
2 2 2 6
Direct
0.0000 0.0000 0.0000
0.0000 0.0000 0.5000
0.2615 0.7385 0.7500
0.7385 0.2615 0.2500
0.4544 0.5456 0.2500
0.5456 0.4544 0.7500
0.1040 0.8960 0.2500
0.3687 0.6313 0.0505
0.3687 0.6313 0.4495
0.6313 0.3687 0.5505
0.6313 0.3687 0.9495
0.8960 0.1040 0.7500
```

Peak list (10 most intense, 10° ≤ 2θ ≤ 90°, in order of rising 2θ)
| Position (°2θ) | I (rel.) |
| --- | --- |
| 20.6 | 49 |
| 26.6 | 24 |
| 28.0 | 100 |
| 31.9 | 45 |
| 33.8 | 24 |
| 34.9 | 33 |
| 38.5 | 30 |
| 39.4 | 44 |
| 41.6 | 29 |
| 52.2 | 25 |



(3)
For SrNdAs2, a GGA-PBE-relaxed structure gives the computed X-ray powder pattern in this record (Cu Kα (λ = 1.5418 Å)).
Peak positions follow from Bragg's law for the DFT cell and can differ from measured ones.

Structure:
```
SrNdAs2
1.0
7.7983 0.0000 0.0000
-3.8991 6.7535 0.0000
0.0000 0.0000 6.6986
Sr Nd As
3 3 6
Direct
0.0000 0.6658 0.0000
0.3342 0.3342 0.0000
0.6658 0.0000 0.0000
0.0000 0.3330 0.5000
0.3330 0.0000 0.5000
0.6670 0.6670 0.5000
0.0000 0.0000 0.2647
0.0000 0.0000 0.7353
0.3333 0.6667 0.2666
0.3333 0.6667 0.7334
0.6667 0.3333 0.2666
0.6667 0.3333 0.7334
```

Peak list (10 most intense, 10° ≤ 2θ ≤ 90°, in order of rising 2θ)
| Position (°2θ) | I (rel.) |
| --- | --- |
| 26.4 | 100 |
| 35.3 | 85 |
| 40.1 | 61 |
| 46.9 | 24 |
| 48.7 | 22 |
| 54.5 | 24 |
| 64.8 | 16 |
| 69.7 | 23 |
| 70.0 | 22 |
| 77.6 | 11 |



(4)
For Ni4As3, a GGA-PBE-relaxed structure gives the computed X-ray powder pattern in this record (Cu Kα (λ = 1.5418 Å)).
Peak positions follow from Bragg's law for the DFT cell and can differ from measured ones.

Structure:
```
Ni4As3
1.0
1.9510 1.1264 7.3239
-1.9510 1.1264 7.3239
0.0000 -2.2528 7.3239
Ni As
4 3
Direct
0.0000 0.0000 0.0000
0.1309 0.1309 0.1309
0.3989 0.3989 0.3989
0.5298 0.5298 0.5298
0.2643 0.2643 0.2643
0.6991 0.6991 0.6991
0.8295 0.8295 0.8295
```

Peak list (10 most intense, 10° ≤ 2θ ≤ 90°, in order of rising 2θ)
| Position (°2θ) | I (rel.) |
| --- | --- |
| 24.3 | 8 |
| 39.2 | 100 |
| 42.4 | 8 |
| 46.5 | 80 |
| 53.2 | 7 |
| 62.4 | 24 |
| 65.6 | 8 |
| 74.6 | 8 |
| 81.3 | 22 |
| 86.4 | 13 |